[1]
Theoretical powder diffractogram
Compound: Li3V2Fe2O8
Radiation: Cu Kα X-rays
Structure: a cell relaxed with GGA+U

```
data_Li3V2Fe2O8
_cell_length_a 5.703
_cell_length_b 5.708
_cell_length_c 5.712
_cell_angle_alpha 60.16
_cell_angle_beta 60.10
_cell_angle_gamma 89.09
_symmetry_space_group_name_H-M 'P -1'
_symmetry_Int_Tables_number 2
_symmetry_space_group_name_Hall '-P 1'
loop_
_atom_site_label
_atom_site_fract_x
_atom_site_fract_y
_atom_site_fract_z
_atom_site_occupancy
Li1 0.000 0.000 0.000 1
Li2 0.000 0.000 0.500 1
Li3 0.500 0.000 0.000 1
V1 0.500 0.500 0.000 1
V2 0.500 0.500 0.500 1
Fe1 0.000 0.500 0.000 1
Fe2 0.500 0.000 0.500 1
O1 0.255 0.263 0.990 1
O2 0.257 0.749 0.520 1
O3 0.259 0.751 0.973 1
O4 0.270 0.254 0.487 1
```

Most intense lines, 2θ from 5° to 70°, low angle first:
Position (°2θ)  Rel. int.  (hkl)
18.86  63  1 0 0
19.09  100  0 1 1
36.37  13  1 0 -1
36.50  13  2 1 1
37.19  15  -1 2 1
44.35  41  0 0 2
44.57  40  2 2 2
45.32  39  2 -2 0
64.02  11  2 2 0
65.36  31  0 4 2

=====

[2]
Theoretical powder diffractogram
Compound: Ba3Mn2IrO9
Radiation: Cu Kα X-rays
Structure: a cell relaxed with GGA+U

```
data_Ba3Mn2IrO9
_cell_length_a 5.8416
_cell_length_b 5.8416
_cell_length_c 22.0345
_cell_angle_alpha 90.00
_cell_angle_beta 90.00
_cell_angle_gamma 120.00
_symmetry_space_group_name_H-M 'R -3 m'
_symmetry_Int_Tables_number 166
_symmetry_space_group_name_Hall '-R 3 2"'
loop_
_atom_site_label
_atom_site_fract_x
_atom_site_fract_y
_atom_site_fract_z
_atom_site_occupancy
Ba1 0.0000 0.0000 0.0000 1
Ba2 0.0000 0.0000 0.2202 1
Mn1 0.0000 0.0000 0.3779 1
Ir1 0.0000 0.0000 0.5000 1
O1 0.0000 0.5000 0.0000 1
O2 0.0272 0.5136 0.2223 1
```

Most intense lines, 2θ from 5° to 70°, low angle first:
Position (°2θ)  Rel. int.  (hkl)
23.88  58  1 0 4
30.61  100  1 1 0
33.53  24  1 0 7
37.17  25  0 1 8
39.19  33  0 2 4
48.89  20  2 0 8
50.53  15  2 1 4
54.41  20  3 0 0
58.79  17  1 2 8
63.72  19  2 2 0

=====

[3]
Theoretical powder diffractogram
Compound: Rb2MoAuF6
Radiation: Cu Kα X-rays
Structure: a cell relaxed with GGA+U

```
data_Rb2MoAuF6
_cell_length_a 9.118
_cell_length_b 9.118
_cell_length_c 9.118
_cell_angle_alpha 90.00
_cell_angle_beta 90.00
_cell_angle_gamma 90.00
_symmetry_space_group_name_H-M 'F m -3 m'
_symmetry_Int_Tables_number 225
_symmetry_space_group_name_Hall '-F 4 2 3'
loop_
_atom_site_label
_atom_site_fract_x
_atom_site_fract_y
_atom_site_fract_z
_atom_site_occupancy
Rb1 0.250 0.250 0.250 1
Mo1 0.000 0.000 0.000 1
Au1 0.000 0.000 0.500 1
F1 0.000 0.000 0.228 1
```

Most intense lines, 2θ from 5° to 70°, low angle first:
Position (°2θ)  Rel. int.  (hkl)
16.84  7  1 1 1
19.47  17  2 0 0
27.67  100  2 2 0
32.57  8  3 1 1
39.53  35  4 0 0
43.25  5  3 3 1
44.43  7  4 2 0
48.94  41  4 2 2
57.15  22  4 4 0
64.65  19  6 2 0

=====

[4]
Theoretical powder diffractogram
Compound: Li9Mn2Co5O16
Radiation: Cu Kα X-rays
Structure: a cell relaxed with GGA+U

```
data_Li9Mn2Co5O16
_cell_length_a 2.942
_cell_length_b 9.728
_cell_length_c 10.123
_cell_angle_alpha 85.61
_cell_angle_beta 87.53
_cell_angle_gamma 83.50
_symmetry_space_group_name_H-M 'P 1'
_symmetry_Int_Tables_number 1
_symmetry_space_group_name_Hall 'P 1'
loop_
_atom_site_label
_atom_site_fract_x
_atom_site_fract_y
_atom_site_fract_z
_atom_site_occupancy
Li1 0.000 0.000 0.000 1
Li2 0.004 0.999 0.496 1
Li3 0.135 0.742 0.687 1
Li4 0.233 0.506 0.865 1
Li5 0.244 0.505 0.374 1
Li6 0.489 0.998 0.743 1
Li7 0.501 0.997 0.248 1
Li8 0.740 0.510 0.626 1
Li9 0.751 0.497 0.125 1
Mn1 0.617 0.750 0.930 1
Mn2 0.871 0.252 0.310 1
Co1 0.111 0.753 0.187 1
Co2 0.368 0.253 0.059 1
Co3 0.374 0.248 0.561 1
Co4 0.625 0.752 0.444 1
Co5 0.871 0.250 0.810 1
O1 0.045 0.861 0.339 1
O2 0.086 0.860 0.854 1
O3 0.147 0.646 0.027 1
O4 0.212 0.636 0.519 1
O5 0.275 0.373 0.216 1
O6 0.300 0.364 0.719 1
O7 0.443 0.134 0.900 1
O8 0.468 0.133 0.404 1
O9 0.527 0.863 0.091 1
O10 0.563 0.865 0.572 1
O11 0.686 0.633 0.794 1
O12 0.703 0.644 0.284 1
O13 0.802 0.365 0.971 1
O14 0.809 0.364 0.468 1
O15 0.939 0.132 0.652 1
O16 0.942 0.137 0.154 1
```

Most intense lines, 2θ from 5° to 70°, low angle first:
Position (°2θ)  Rel. int.  (hkl)
18.41  100  0 2 0
34.96  17  1 0 2
36.16  13  0 1 4
36.74  12  1 1 -2
37.47  8  1 2 2
42.04  32  1 -2 2
44.02  27  0 3 4
44.71  26  1 3 -2
62.35  8  1 1 6
62.74  8  0 5 -4

=====

[5]
Theoretical powder diffractogram
Compound: FeO2
Radiation: Cu Kα X-rays
Structure: a cell relaxed with GGA+U

```
data_FeO2
_cell_length_a 2.8871
_cell_length_b 2.8871
_cell_length_c 10.2648
_cell_angle_alpha 90.00
_cell_angle_beta 90.00
_cell_angle_gamma 120.00
_symmetry_space_group_name_H-M 'P 63/m m c'
_symmetry_Int_Tables_number 194
_symmetry_space_group_name_Hall '-P 6c 2c'
loop_
_atom_site_label
_atom_site_fract_x
_atom_site_fract_y
_atom_site_fract_z
_atom_site_occupancy
Fe1 0.0000 0.0000 0.0000 1
O1 0.3333 0.6667 0.0934 1
```

Most intense lines, 2θ from 5° to 70°, low angle first:
Position (°2θ)  Rel. int.  (hkl)
17.28  100  0 0 2
34.96  4  0 0 4
35.92  15  1 0 0
37.00  4  1 0 1
40.12  35  1 0 2
44.90  6  1 0 3
51.00  28  1 0 4
64.56  10  1 1 0
66.19  13  1 0 6
67.39  11  1 1 2